(1)
Structure and theoretical X-ray powder pattern of Tl3CdHg3 (DFT lattice parameters and positions (PBE); copper Kα).

Principal peaks in the range 2θ = 15–90°, most intense first:
d (Å), Position (°2θ), intensity, hkl
2.708, 33.08, 100, 2 2 2
2.472, 36.34, 19, 0 4 0
2.457, 36.58, 17, 4 0 0
1.326, 71.11, 14, 2 2 6
2.150, 42.02, 14, 0 0 4
3.660, 24.32, 14, 1 1 2
1.469, 63.33, 12, 2 6 2
1.743, 52.51, 11, 4 4 0
1.462, 63.64, 11, 6 2 2
1.622, 56.74, 11, 0 4 4

Atomic structure:
```
data_Tl3CdHg3
_space_group_name_H-M_alt 'C m m m'
_space_group_IT_number 65
_space_group_name_Hall '-C 2 2'
_cell_length_a 9.827
_cell_length_b 9.888
_cell_length_c 8.601
_cell_angle_alpha 90.00
_cell_angle_beta 90.00
_cell_angle_gamma 90.00
loop_
_atom_site_label
_atom_site_fract_x
_atom_site_fract_y
_atom_site_fract_z
_atom_site_occupancy
Tl1 0.000 0.000 0.245 1
Tl2 0.250 0.250 0.249 1
Cd1 0.000 0.259 0.000 1
Hg1 0.000 0.286 0.500 1
Hg2 0.204 0.500 0.000 1
Hg3 0.240 0.500 0.500 1
```

(2)
Structure and theoretical X-ray powder pattern of LaHgRu2 (DFT lattice parameters and positions (PBE); copper Kα).

Principal peaks in the range 2θ = 15–90°, most intense first:
d (Å), Position (°2θ), intensity, hkl
2.332, 38.61, 100, 1 1 0
2.624, 34.17, 96, 0 1 2
2.309, 39.00, 67, 1 0 2
1.687, 54.38, 40, 1 1 3
3.345, 26.65, 38, 0 1 1
1.458, 63.86, 32, 1 2 2
2.444, 36.78, 31, 0 0 3
1.879, 48.44, 26, 0 2 0
2.756, 32.49, 23, 1 0 1
1.294, 73.15, 21, 2 1 2

Atomic structure:
```
data_LaHgRu2
_space_group_name_H-M_alt 'P m m 2'
_space_group_IT_number 25
_cell_length_a 2.974
_cell_length_b 3.758
_cell_length_c 7.332
_cell_angle_alpha 90.00
_cell_angle_beta 90.00
_cell_angle_gamma 90.00
loop_
_space_group_symop_operation_xyz
'x,y,z'
'-x,-y,z'
'-x,y,z'
'x,-y,z'
loop_
_atom_site_label
_atom_site_fract_x
_atom_site_fract_y
_atom_site_fract_z
_atom_site_occupancy
La1 0.000 0.000 0.000 1
Hg1 0.500 0.500 0.671 1
Ru1 0.000 0.000 0.413 1
Ru2 0.500 0.500 0.278 1
```

(3)
Structure and theoretical X-ray powder pattern of MnS5Cl (DFT lattice parameters and positions (PBE); copper Kα).

Principal peaks in the range 2θ = 15–90°, most intense first:
d (Å), Position (°2θ), intensity, hkl
3.966, 22.42, 100, 1 3 0
5.447, 16.27, 78, 0 4 0
2.992, 29.86, 34, 1 5 -1
4.044, 21.98, 31, 1 1 -1
1.934, 46.98, 24, 2 8 -1
4.626, 19.18, 20, 1 1 0
3.581, 24.87, 16, 1 3 -1
2.453, 36.64, 16, 2 4 -1
3.036, 29.42, 16, 0 4 1
1.785, 51.17, 15, 1 11 -1

Atomic structure:
```
data_MnS5Cl
_space_group_name_H-M_alt 'C 1 2 1'
_space_group_IT_number 5
_cell_length_a 5.552
_cell_length_b 21.789
_cell_length_c 4.289
_cell_angle_alpha 90.00
_cell_angle_beta 121.49
_cell_angle_gamma 90.00
loop_
_space_group_symop_operation_xyz
'x,y,z'
'-x,y,-z'
'x+1/2,y+1/2,z'
'-x+1/2,y+1/2,-z'
loop_
_atom_site_label
_atom_site_fract_x
_atom_site_fract_y
_atom_site_fract_z
_atom_site_occupancy
Mn1 0.000 0.000 0.000 1
S1 0.000 0.756 0.000 1
S2 0.148 0.426 0.766 1
S3 0.156 0.697 0.772 1
Cl1 0.000 0.052 0.500 1
```

(4)
Structure and theoretical X-ray powder pattern of LaPr4Nd2Tm2 (DFT lattice parameters and positions (PBE); copper Kα).

Principal peaks in the range 2θ = 15–90°, most intense first:
d (Å), Position (°2θ), intensity, hkl
2.991, 29.88, 100, 3 1 1
2.593, 34.59, 34, 0 2 0
1.832, 49.78, 30, 6 0 2
1.563, 59.10, 29, 3 3 1
2.584, 34.72, 17, 0 0 3
1.559, 59.26, 14, 3 1 4
1.495, 62.07, 12, 6 2 2
1.188, 80.94, 12, 3 3 4
1.159, 83.37, 11, 0 4 3
1.830, 49.83, 6, 6 0 -4

Atomic structure:
```
data_LaPr4Nd2Tm2
_space_group_name_H-M_alt 'C 1 2/m 1'
_space_group_IT_number 12
_cell_length_a 15.558
_cell_length_b 5.186
_cell_length_c 8.173
_cell_angle_alpha 90.00
_cell_angle_beta 108.47
_cell_angle_gamma 90.00
loop_
_space_group_symop_operation_xyz
'x,y,z'
'-x,-y,-z'
'-x,y,-z'
'x,-y,z'
'x+1/2,y+1/2,z'
'-x+1/2,-y+1/2,-z'
'-x+1/2,y+1/2,-z'
'x+1/2,-y+1/2,z'
loop_
_atom_site_label
_atom_site_fract_x
_atom_site_fract_y
_atom_site_fract_z
_atom_site_occupancy
La1 0.000 0.000 0.000 1
Pr1 0.055 0.500 0.331 1
Pr2 0.222 0.000 0.328 1
Nd1 0.112 0.000 0.668 1
Tm1 0.169 0.500 0.999 1
```